Starting from a crystal structure in Alexandria, relaxed with GGA-PBE, the powder diffraction line list of AcAg5Hg was computed for Cu Kα X-rays.
Lines closer than 0.1° are merged.

Top 12 peaks for 2θ from 10° to 80°, in order of rising 2θ:
(0 1 3), 2θ 27.74, I = 25
(0 2 0), 2θ 30.67, I = 43
(1 0 4), 2θ 32.46, I = 53
(3 1 1), 2θ 33.87, I = 100
(2 1 3), 2θ 33.99, I = 66
(2 2 0), 2θ 36.49, I = 45
(2 2 1), 2θ 37.31, I = 42
(2 1 4), 2θ 39.91, I = 76
(1 2 3), 2θ 39.99, I = 51
(1 0 5), 2θ 40.20, I = 23
(3 3 1), 2θ 56.62, I = 37
(5 2 2), 2θ 61.64, I = 27

```
data_AcAg5Hg
_cell_length_a 9.220
_cell_length_b 5.831
_cell_length_c 11.564
_cell_angle_alpha 90.00
_cell_angle_beta 90.00
_cell_angle_gamma 90.00
_symmetry_space_group_name_H-M 'P 1'
_symmetry_Int_Tables_number 1
loop_
_symmetry_equiv_pos_as_xyz
'x,y,z'
loop_
_atom_site_label
_atom_site_type_symbol
_atom_site_fract_x
_atom_site_fract_y
_atom_site_fract_z
Ac1 Ac 0.240 0.250 0.064
Ac2 Ac 0.260 0.750 0.564
Ac3 Ac 0.740 0.250 0.436
Ac4 Ac 0.760 0.750 0.936
Ag1 Ag 0.065 0.006 0.310
Ag2 Ag 0.065 0.494 0.310
Ag3 Ag 0.068 0.750 0.097
Ag4 Ag 0.096 0.250 0.518
Ag5 Ag 0.183 0.250 0.757
Ag6 Ag 0.317 0.750 0.257
Ag7 Ag 0.404 0.750 0.018
Ag8 Ag 0.432 0.250 0.597
Ag9 Ag 0.435 0.506 0.810
Ag10 Ag 0.435 0.994 0.810
Ag11 Ag 0.565 0.006 0.190
Ag12 Ag 0.565 0.494 0.190
Ag13 Ag 0.568 0.750 0.403
Ag14 Ag 0.596 0.250 0.982
Ag15 Ag 0.683 0.250 0.743
Ag16 Ag 0.817 0.750 0.243
Ag17 Ag 0.904 0.750 0.482
Ag18 Ag 0.932 0.250 0.903
Ag19 Ag 0.935 0.506 0.690
Ag20 Ag 0.935 0.994 0.690
Hg1 Hg 0.139 0.750 0.857
Hg2 Hg 0.361 0.250 0.357
Hg3 Hg 0.639 0.750 0.643
Hg4 Hg 0.861 0.250 0.143
```